For TmPuSc5, a DFT-relaxed cell (PBE, Alexandria) gives the simulated PXRD pattern in this record (CuKα).
Peak positions follow from Bragg's law for the DFT cell and can differ from measured ones.

a b c (Å): 6.601 10.787 10.449
angles (deg): 90.00 90.00 90.00
Space group Imma (No. 74)
Asymmetric unit:
Tm (0.000, 0.250, 0.053)
Pu (0.250, 0.250, 0.750)
Sc (0.000, 0.017, 0.254)
Sc (0.000, 0.250, 0.462)
Sc (0.248, 0.000, 0.000)

Most intense lines, 2θ from 10° to 90°, most intense first:
- (2 2 2), d = 2.478 Å, 2θ 36.2, rel. 100
- (0 1 3), d = 3.314 Å, 2θ 26.9, rel. 50
- (0 1 1), d = 7.505 Å, 2θ 11.8, rel. 50
- (2 1 1), d = 3.021 Å, 2θ 29.6, rel. 48
- (0 4 0), d = 2.697 Å, 2θ 33.2, rel. 38
- (0 2 0), d = 5.394 Å, 2θ 16.4, rel. 34
- (0 3 3), d = 2.502 Å, 2θ 35.9, rel. 28
- (2 3 1), d = 2.369 Å, 2θ 38.0, rel. 24
- (2 1 5), d = 1.742 Å, 2θ 52.5, rel. 23
- (2 6 2), d = 1.511 Å, 2θ 61.3, rel. 20